[1]
Starting from a DFT-relaxed cell (PBE, Alexandria), the powder X-ray diffraction pattern of Tm6CuSe5 was computed for copper Kα.
Peak positions follow from Bragg's law for the DFT cell and can differ from measured ones.

Cell and atoms:
a = 6.9991 Å, b = 12.0815 Å, c = 6.9820 Å
α = 90.00°, β = 109.46°, γ = 90.00°
Space group C2/m (No. 12)
Asymmetric unit:
Tm: 0.2342 0.0000 0.2590
Tm: 0.2356 0.1576 0.7361
Cu: 0.0000 0.0000 0.5000
Se: 0.0000 0.1760 0.0000
Se: 0.0000 0.3352 0.5000
Se: 0.0000 0.5000 0.0000

Largest 10 diffraction maxima, low angle first, 2θ = 15–90°:
| index | 2θ/deg | I/Imax |
| --- | --- | --- |
| 1 3 -1 | 27.10 | 19 |
| 2 0 -2 | 31.37 | 100 |
| 1 3 -3 | 44.94 | 60 |
| 0 6 0 | 45.02 | 12 |
| 2 0 -4 | 53.30 | 6 |
| 0 0 4 | 55.88 | 18 |
| 4 0 -4 | 65.45 | 11 |
| 5 3 -3 | 74.31 | 15 |
| 3 3 -5 | 74.45 | 15 |
| 2 0 -6 | 82.96 | 13 |

[2]
Starting from a DFT-relaxed cell (PBE, Alexandria), the powder X-ray diffraction pattern of K2NiHg2H4 was computed for copper Kα.
Peak positions follow from Bragg's law for the DFT cell and can differ from measured ones.

Cell and atoms:
a = 6.6300 Å, b = 6.6300 Å, c = 8.2131 Å
α = 90.00°, β = 90.00°, γ = 90.00°
Space group I4/mmm (No. 139)
Asymmetric unit:
K: 0.0000 0.5000 0.2500
Ni: 0.0000 0.0000 0.0000
Hg: 0.0000 0.0000 0.3193
H: 0.1652 0.1652 0.0000

Largest 10 diffraction maxima, low angle first, 2θ = 15–90°:
| index | 2θ/deg | I/Imax |
| --- | --- | --- |
| 1 1 0 | 18.93 | 100 |
| 2 0 0 | 26.90 | 90 |
| 2 0 2 | 34.78 | 24 |
| 1 0 3 | 35.47 | 61 |
| 2 2 0 | 38.40 | 36 |
| 3 1 0 | 43.15 | 26 |
| 2 1 3 | 45.07 | 62 |
| 3 0 3 | 53.27 | 19 |
| 3 2 3 | 60.67 | 26 |
| 4 1 3 | 67.56 | 19 |

[3]
Starting from a DFT-relaxed cell (PBE, Alexandria), the powder X-ray diffraction pattern of PrPaCuAu was computed for copper Kα.
Peak positions follow from Bragg's law for the DFT cell and can differ from measured ones.

Cell and atoms:
a = 7.2273 Å, b = 7.2273 Å, c = 7.2273 Å
α = 90.00°, β = 90.00°, γ = 90.00°
Space group F-43m (No. 216)
Asymmetric unit:
Pr: 0.0000 0.0000 0.0000
Pa: 0.0000 0.0000 0.5000
Cu: 0.2500 0.2500 0.2500
Au: 0.2500 0.2500 0.7500

Largest 10 diffraction maxima, low angle first, 2θ = 15–90°:
| index | 2θ/deg | I/Imax |
| --- | --- | --- |
| 1 1 1 | 21.29 | 13 |
| 2 0 0 | 24.64 | 3 |
| 2 2 0 | 35.12 | 100 |
| 3 1 1 | 41.44 | 8 |
| 4 0 0 | 50.51 | 18 |
| 3 3 1 | 55.41 | 3 |
| 4 2 2 | 63.01 | 37 |
| 4 4 0 | 74.23 | 12 |
| 5 3 1 | 78.26 | 3 |
| 6 2 0 | 84.85 | 17 |

[4]
Starting from a DFT-relaxed cell (PBE, Alexandria), the powder X-ray diffraction pattern of PmZnGa was computed for copper Kα.
Peak positions follow from Bragg's law for the DFT cell and can differ from measured ones.

Cell and atoms:
a = 4.2078 Å, b = 4.2078 Å, c = 15.1808 Å
α = 90.00°, β = 90.00°, γ = 90.00°
Space group I-4m2 (No. 119)
Asymmetric unit:
Pm: 0.0000 0.0000 0.0000
Pm: 0.0000 0.5000 0.2500
Zn: 0.0000 0.5000 0.6680
Ga: 0.0000 0.0000 0.4171

Largest 10 diffraction maxima, low angle first, 2θ = 15–90°:
| index | 2θ/deg | I/Imax |
| --- | --- | --- |
| 1 0 3 | 27.57 | 32 |
| 1 1 2 | 32.32 | 100 |
| 1 0 5 | 36.49 | 54 |
| 2 0 0 | 42.99 | 40 |
| 1 0 7 | 47.15 | 27 |
| 2 1 5 | 57.63 | 28 |
| 2 2 0 | 62.42 | 13 |
| 2 1 7 | 65.69 | 19 |
| 1 1 10 | 69.52 | 12 |
| 3 1 2 | 72.06 | 19 |

[5]
Starting from a DFT-relaxed cell (PBE, Alexandria), the powder X-ray diffraction pattern of Ca2In5Ni3 was computed for copper Kα.
Peak positions follow from Bragg's law for the DFT cell and can differ from measured ones.

Cell and atoms:
a = 4.4369 Å, b = 26.0389 Å, c = 7.2267 Å
α = 90.00°, β = 90.00°, γ = 90.00°
Space group Cmc2_1 (No. 36)
Asymmetric unit:
Ca: 0.0000 0.0254 0.0000
Ca: 0.0000 0.3256 0.9256
In: 0.0000 0.0959 0.6215
In: 0.0000 0.2062 0.1233
In: 0.0000 0.2110 0.7165
In: 0.0000 0.3738 0.4665
In: 0.0000 0.4483 0.8264
Ni: 0.0000 0.1101 0.2498
Ni: 0.0000 0.2710 0.4154
Ni: 0.0000 0.4527 0.2121

Largest 10 diffraction maxima, low angle first, 2θ = 15–90°:
| index | 2θ/deg | I/Imax |
| --- | --- | --- |
| 0 4 1 | 18.34 | 34 |
| 1 1 2 | 32.13 | 51 |
| 1 3 2 | 33.61 | 100 |
| 1 7 1 | 33.80 | 80 |
| 1 9 0 | 37.12 | 51 |
| 1 7 2 | 40.30 | 29 |
| 2 0 0 | 40.67 | 74 |
| 0 10 2 | 42.82 | 30 |
| 1 3 3 | 44.03 | 32 |
| 1 9 2 | 45.03 | 49 |

[6]
Starting from a DFT-relaxed cell (PBE, Alexandria), the powder X-ray diffraction pattern of Ba3SrSn4O12 was computed for copper Kα.
Peak positions follow from Bragg's law for the DFT cell and can differ from measured ones.

Cell and atoms:
a = 4.1678 Å, b = 5.8974 Å, c = 11.7853 Å
α = 90.00°, β = 90.00°, γ = 90.00°
Space group Pmmm (No. 47)
Asymmetric unit:
Ba: 0.0000 0.0000 0.0000
Ba: 0.0000 0.5000 0.2520
Sr: 0.0000 0.0000 0.5000
Sn: 0.5000 0.0000 0.2522
Sn: 0.5000 0.5000 0.0000
Sn: 0.5000 0.5000 0.5000
O: 0.0000 0.0000 0.2558
O: 0.0000 0.5000 0.0000
O: 0.0000 0.5000 0.5000
O: 0.5000 0.2456 0.3782
O: 0.5000 0.2498 0.1259

Largest 9 diffraction maxima, low angle first, 2θ = 15–90°:
| index | 2θ/deg | I/Imax |
| --- | --- | --- |
| 1 0 0 | 21.32 | 1 |
| 1 1 2 | 30.33 | 100 |
| 1 2 0 | 37.37 | 2 |
| 2 0 0 | 43.42 | 31 |
| 2 2 0 | 53.88 | 41 |
| 2 2 4 | 63.08 | 20 |
| 3 1 2 | 71.59 | 18 |
| 2 4 0 | 79.69 | 7 |
| 3 3 2 | 87.58 | 23 |

[7]
Starting from a DFT-relaxed cell (PBE, Alexandria), the powder X-ray diffraction pattern of NaAu12 was computed for copper Kα.
Peak positions follow from Bragg's law for the DFT cell and can differ from measured ones.

Cell and atoms:
a = 11.5060 Å, b = 11.5060 Å, c = 11.5060 Å
α = 90.00°, β = 90.00°, γ = 90.00°
Space group Fm-3m (No. 225)
Asymmetric unit:
Na: 0.0000 0.0000 0.0000
Au: 0.0000 0.1694 0.3306

Largest 10 diffraction maxima, low angle first, 2θ = 15–90°:
| index | 2θ/deg | I/Imax |
| --- | --- | --- |
| 2 2 0 | 21.85 | 39 |
| 3 1 1 | 25.68 | 55 |
| 2 2 2 | 26.84 | 21 |
| 4 2 0 | 34.87 | 22 |
| 4 2 2 | 38.32 | 20 |
| 3 3 3 | 40.75 | 100 |
| 5 3 1 | 46.71 | 25 |
| 6 0 0 | 47.41 | 51 |
| 6 6 0 | 69.30 | 33 |
| 9 3 3 | 83.62 | 36 |

[8]
Starting from a DFT-relaxed cell (PBE, Alexandria), the powder X-ray diffraction pattern of Co5NiPt4 was computed for copper Kα.
Peak positions follow from Bragg's law for the DFT cell and can differ from measured ones.

Cell and atoms:
a = 2.6776 Å, b = 3.6668 Å, c = 13.3111 Å
α = 90.00°, β = 90.00°, γ = 90.00°
Space group Pmmm (No. 47)
Asymmetric unit:
Co: 0.0000 0.0000 0.0000
Co: 0.0000 0.0000 0.2027
Co: 0.0000 0.0000 0.4119
Ni: 0.5000 0.5000 0.5000
Pt: 0.5000 0.5000 0.1020
Pt: 0.5000 0.5000 0.3082

Largest 10 diffraction maxima, low angle first, 2θ = 15–90°:
| index | 2θ/deg | I/Imax |
| --- | --- | --- |
| 0 1 0 | 24.27 | 42 |
| 1 0 0 | 33.47 | 19 |
| 1 1 0 | 41.77 | 100 |
| 0 1 5 | 41.94 | 95 |
| 1 0 5 | 48.20 | 63 |
| 0 2 0 | 49.73 | 30 |
| 1 1 5 | 54.68 | 20 |
| 1 2 5 | 71.77 | 38 |
| 2 1 5 | 85.37 | 24 |
| 1 1 10 | 85.70 | 21 |

[9]
Starting from a DFT-relaxed cell (PBE, Alexandria), the powder X-ray diffraction pattern of GeO2 was computed for copper Kα.
Peak positions follow from Bragg's law for the DFT cell and can differ from measured ones.

Cell and atoms:
a = 5.0887 Å, b = 5.0887 Å, c = 7.2847 Å
α = 90.00°, β = 90.00°, γ = 90.00°
Space group P4_32_12 (No. 96)
Asymmetric unit:
Ge: 0.1812 0.1812 0.0000
O: 0.1567 0.7720 0.5457

Largest 10 diffraction maxima, low angle first, 2θ = 15–90°:
| index | 2θ/deg | I/Imax |
| --- | --- | --- |
| 1 0 1 | 21.30 | 100 |
| 1 1 1 | 27.65 | 17 |
| 1 0 2 | 30.17 | 22 |
| 1 1 2 | 35.06 | 13 |
| 2 0 0 | 35.27 | 21 |
| 2 1 1 | 41.57 | 14 |
| 3 1 1 | 58.76 | 9 |
| 3 0 2 | 60.18 | 14 |
| 3 1 3 | 70.16 | 8 |
| 3 2 2 | 71.72 | 7 |

[10]
Starting from a DFT-relaxed cell (PBE, Alexandria), the powder X-ray diffraction pattern of Ni was computed for copper Kα.
Peak positions follow from Bragg's law for the DFT cell and can differ from measured ones.

Cell and atoms:
a = 4.7276 Å, b = 4.7276 Å, c = 4.1878 Å
α = 90.00°, β = 90.00°, γ = 90.00°
Space group I4/mcm (No. 140)
Asymmetric unit:
Ni: 0.1720 0.3280 0.0000

Largest 10 diffraction maxima, low angle first, 2θ = 15–90°:
| index | 2θ/deg | I/Imax |
| --- | --- | --- |
| 1 1 0 | 26.67 | 12 |
| 2 0 0 | 38.07 | 29 |
| 0 0 2 | 43.21 | 33 |
| 2 1 1 | 48.22 | 100 |
| 2 0 2 | 58.92 | 15 |
| 3 1 0 | 62.08 | 9 |
| 3 1 2 | 78.63 | 9 |
| 2 1 3 | 82.87 | 18 |
| 3 3 0 | 87.55 | 7 |
| 4 1 1 | 88.39 | 19 |

[11]
Starting from a DFT-relaxed cell (PBE, Alexandria), the powder X-ray diffraction pattern of Rb2Ta3O8F was computed for copper Kα.
Peak positions follow from Bragg's law for the DFT cell and can differ from measured ones.

Cell and atoms:
a = 6.1666 Å, b = 6.1666 Å, c = 24.9500 Å
α = 90.00°, β = 90.00°, γ = 120.00°
Space group R3m (No. 160, hexagonal axes)
Asymmetric unit:
Rb: 0.0000 0.0000 0.0000
Rb: 0.0000 0.0000 0.4025
Ta: 0.0012 0.5006 0.5248
O: 0.0000 0.0000 0.2356
O: 0.0000 0.0000 0.8146
O: 0.0326 0.5163 0.8175
O: 0.1848 0.3695 0.5654
F: 0.0000 0.0000 0.6970

Largest 10 diffraction maxima, low angle first, 2θ = 15–90°:
| index | 2θ/deg | I/Imax |
| --- | --- | --- |
| 1 0 1 | 16.98 | 61 |
| 0 0 6 | 21.37 | 100 |
| 1 0 4 | 21.91 | 40 |
| 0 1 5 | 24.41 | 56 |
| 1 1 3 | 30.93 | 75 |
| 0 2 1 | 33.76 | 63 |
| 2 0 2 | 34.35 | 65 |
| 0 2 4 | 36.61 | 71 |
| 0 2 7 | 42.29 | 68 |
| 2 0 8 | 44.68 | 41 |

[12]
Starting from a DFT-relaxed cell (PBE, Alexandria), the powder X-ray diffraction pattern of Ce5Bi4Te was computed for copper Kα.
Peak positions follow from Bragg's law for the DFT cell and can differ from measured ones.

Cell and atoms:
a = 4.6038 Å, b = 6.4801 Å, c = 22.8332 Å
α = 90.00°, β = 90.00°, γ = 90.00°
Space group Immm (No. 71)
Asymmetric unit:
Ce: 0.0000 0.0000 0.0000
Ce: 0.0000 0.0000 0.2003
Ce: 0.0000 0.0000 0.4013
Bi: 0.0000 0.5000 0.1993
Bi: 0.0000 0.5000 0.4002
Te: 0.0000 0.5000 0.0000

Largest 10 diffraction maxima, low angle first, 2θ = 15–90°:
| index | 2θ/deg | I/Imax |
| --- | --- | --- |
| 1 0 5 | 27.52 | 100 |
| 2 0 0 | 39.13 | 13 |
| 1 2 5 | 39.31 | 52 |
| 0 0 10 | 39.47 | 13 |
| 2 2 0 | 48.51 | 14 |
| 0 2 10 | 48.79 | 14 |
| 2 0 10 | 56.81 | 14 |
| 2 2 10 | 64.26 | 25 |
| 3 2 5 | 71.03 | 9 |
| 0 4 10 | 71.45 | 14 |

[13]
Starting from a DFT-relaxed cell (PBE, Alexandria), the powder X-ray diffraction pattern of Sr2CaNbF was computed for copper Kα.
Peak positions follow from Bragg's law for the DFT cell and can differ from measured ones.

Cell and atoms:
a = 5.7371 Å, b = 5.7371 Å, c = 4.5780 Å
α = 90.00°, β = 90.00°, γ = 90.00°
Space group P4/mmm (No. 123)
Asymmetric unit:
Sr: 0.0000 0.5000 0.0000
Ca: 0.0000 0.0000 0.5000
Nb: 0.5000 0.5000 0.5000
F: 0.5000 0.5000 0.0000

Largest 10 diffraction maxima, low angle first, 2θ = 15–90°:
| index | 2θ/deg | I/Imax |
| --- | --- | --- |
| 1 0 0 | 15.44 | 15 |
| 1 1 1 | 29.42 | 100 |
| 2 0 0 | 31.18 | 55 |
| 0 0 2 | 39.36 | 14 |
| 2 2 0 | 44.68 | 20 |
| 2 0 2 | 51.05 | 26 |
| 3 1 1 | 54.40 | 35 |
| 2 2 2 | 61.04 | 15 |
| 3 1 3 | 82.62 | 10 |
| 4 2 2 | 87.08 | 11 |